Diffraction record for LaScMoN2. The powder X-ray diffraction pattern is theoretical, not measured: it uses the GGA-PBE geometry in Alexandria and Cu Kα (λ = 1.5418 Å).
Lines closer than 0.1° are merged.

Structure:
Cell lengths 4.147, 4.147, 4.942 Å; angles 90.00, 90.00, 90.00 degrees
Positions (direct):
La 0.000 0.000 0.000
Sc 0.500 0.500 0.000
Mo 0.500 0.500 0.500
N 0.000 0.500 0.500
N 0.500 0.000 0.500

Largest 8 diffraction maxima, by angle, 2θ = 10–90°:
Position (°2θ), d_spacing, I (rel.)
28.1, 3.177, 100
30.5, 2.932, 71
35.6, 2.522, 18
36.4, 2.471, 33
43.7, 2.074, 38
48.2, 1.890, 40
52.7, 1.736, 35
58.1, 1.588, 31

***

Diffraction record for Al2FeSi. The powder X-ray diffraction pattern is theoretical, not measured: it uses the GGA-PBE geometry in Alexandria and Cu Kα (λ = 1.5418 Å).
Lines closer than 0.1° are merged.

Structure:
Cell lengths 2.727, 6.011, 6.011 Å; angles 38.66, 90.00, 90.00 degrees
Positions (direct):
Al 0.000 0.000 0.000
Al 0.000 0.322 0.322
Fe 0.500 0.504 0.504
Si 0.000 0.669 0.669

Largest 8 diffraction maxima, by angle, 2θ = 10–90°:
Position (°2θ), d_spacing, I (rel.)
15.6, 5.672, 68
23.7, 3.755, 58
31.5, 2.836, 18
36.6, 2.458, 22
40.9, 2.207, 28
45.6, 1.990, 28
47.0, 1.933, 100
48.1, 1.891, 22

***

Diffraction record for TbGa3Fe. The powder X-ray diffraction pattern is theoretical, not measured: it uses the GGA-PBE geometry in Alexandria and Cu Kα (λ = 1.5418 Å).
Lines closer than 0.1° are merged.

Structure:
Cell lengths 6.144, 6.144, 5.454 Å; angles 90.00, 90.00, 120.00 degrees
Positions (direct):
Tb 0.333 0.667 0.250
Tb 0.667 0.333 0.750
Ga 0.190 0.380 0.750
Ga 0.190 0.810 0.750
Ga 0.380 0.190 0.250
Ga 0.620 0.810 0.750
Ga 0.810 0.190 0.250
Ga 0.810 0.620 0.250
Fe 0.000 0.000 0.000
Fe 0.000 0.000 0.500

Largest 8 diffraction maxima, by angle, 2θ = 10–90°:
Position (°2θ), d_spacing, I (rel.)
29.1, 3.072, 26
32.8, 2.727, 25
37.0, 2.427, 20
37.6, 2.391, 100
47.8, 1.904, 30
48.2, 1.887, 15
60.3, 1.536, 19
61.8, 1.501, 23

***

Diffraction record for Tb2Er9Tm3. The powder X-ray diffraction pattern is theoretical, not measured: it uses the GGA-PBE geometry in Alexandria and Cu Kα (λ = 1.5418 Å).
Lines closer than 0.1° are merged.

Structure:
Cell lengths 8.742, 8.742, 9.854 Å; angles 102.83, 102.83, 36.49 degrees
Positions (direct):
Tb 0.053 0.053 0.271
Tb 0.947 0.947 0.729
Er 0.128 0.128 0.990
Er 0.267 0.267 0.427
Er 0.308 0.308 0.794
Er 0.335 0.335 0.157
Er 0.500 0.500 0.000
Er 0.665 0.665 0.843
Er 0.692 0.692 0.206
Er 0.733 0.733 0.573
Er 0.872 0.872 0.010
Tm 0.119 0.119 0.620
Tm 0.500 0.500 0.500
Tm 0.881 0.881 0.380

Largest 8 diffraction maxima, by angle, 2θ = 10–90°:
Position (°2θ), d_spacing, I (rel.)
31.8, 2.815, 23
32.2, 2.779, 100
32.4, 2.761, 34
32.7, 2.737, 54
33.4, 2.685, 62
33.9, 2.648, 18
46.7, 1.944, 25
58.1, 1.588, 21

***

Diffraction record for Tc5P3W. The powder X-ray diffraction pattern is theoretical, not measured: it uses the GGA-PBE geometry in Alexandria and Cu Kα (λ = 1.5418 Å).
Lines closer than 0.1° are merged.

Structure:
Cell lengths 7.145, 4.106, 8.534 Å; angles 90.00, 90.99, 90.00 degrees
Positions (direct):
Tc 0.160 0.000 0.256
Tc 0.166 0.000 0.923
Tc 0.168 0.000 0.589
Tc 0.329 0.500 0.420
Tc 0.335 0.500 0.091
Tc 0.665 0.500 0.909
Tc 0.671 0.500 0.580
Tc 0.832 0.000 0.411
Tc 0.834 0.000 0.077
Tc 0.840 0.000 0.744
P 0.000 0.500 0.500
P 0.005 0.500 0.167
P 0.488 0.000 0.355
P 0.500 0.000 0.000
P 0.512 0.000 0.645
P 0.995 0.500 0.833
W 0.338 0.500 0.758
W 0.662 0.500 0.242

Largest 8 diffraction maxima, by angle, 2θ = 10–90°:
Position (°2θ), d_spacing, I (rel.)
25.0, 3.564, 70
40.2, 2.244, 38
40.4, 2.231, 74
40.8, 2.213, 69
40.9, 2.207, 37
44.0, 2.060, 100
44.1, 2.053, 49
61.7, 1.502, 31

***

Diffraction record for Tb8Ge5Sb. The powder X-ray diffraction pattern is theoretical, not measured: it uses the GGA-PBE geometry in Alexandria and Cu Kα (λ = 1.5418 Å).
Lines closer than 0.1° are merged.

Structure:
Cell lengths 7.750, 7.750, 7.750 Å; angles 109.22, 109.22, 109.98 degrees
Positions (direct):
Tb 0.002 0.624 0.752
Tb 0.242 0.485 0.104
Tb 0.376 0.128 0.378
Tb 0.381 0.138 0.896
Tb 0.515 0.619 0.757
Tb 0.750 0.998 0.622
Tb 0.862 0.758 0.243
Tb 0.872 0.250 0.248
Ge 0.000 0.000 0.000
Ge 0.127 0.248 0.622
Ge 0.496 0.873 0.122
Ge 0.626 0.504 0.378
Ge 0.752 0.374 0.878
Sb 0.250 0.750 0.500

Largest 8 diffraction maxima, by angle, 2θ = 10–90°:
Position (°2θ), d_spacing, I (rel.)
28.3, 3.159, 17
31.5, 2.837, 100
31.8, 2.815, 52
37.6, 2.395, 70
37.7, 2.385, 24
49.8, 1.830, 17
52.0, 1.760, 19
64.0, 1.455, 16

***

Diffraction record for Np2UMnN5. The powder X-ray diffraction pattern is theoretical, not measured: it uses the GGA-PBE geometry in Alexandria and Cu Kα (λ = 1.5418 Å).
Lines closer than 0.1° are merged.

Structure:
Cell lengths 6.312, 6.312, 5.486 Å; angles 90.00, 90.00, 90.00 degrees
Positions (direct):
Np 0.164 0.336 0.000
Np 0.336 0.836 0.000
Np 0.664 0.164 0.000
Np 0.836 0.664 0.000
U 0.000 0.000 0.500
U 0.500 0.500 0.500
Mn 0.000 0.500 0.500
Mn 0.500 0.000 0.500
N 0.000 0.000 0.000
N 0.159 0.659 0.268
N 0.159 0.659 0.732
N 0.341 0.159 0.268
N 0.341 0.159 0.732
N 0.500 0.500 0.000
N 0.659 0.841 0.268
N 0.659 0.841 0.732
N 0.841 0.341 0.268
N 0.841 0.341 0.732

Largest 8 diffraction maxima, by angle, 2θ = 10–90°:
Position (°2θ), d_spacing, I (rel.)
25.7, 3.462, 38
31.7, 2.823, 28
32.7, 2.738, 100
35.8, 2.510, 55
45.4, 1.996, 23
46.1, 1.967, 32
57.1, 1.614, 19
64.9, 1.436, 16

***

Diffraction record for PmSm2Tl3. The powder X-ray diffraction pattern is theoretical, not measured: it uses the GGA-PBE geometry in Alexandria and Cu Kα (λ = 1.5418 Å).
Lines closer than 0.1° are merged.

Structure:
Cell lengths 3.843, 3.843, 11.780 Å; angles 90.00, 90.00, 90.00 degrees
Positions (direct):
Pm 0.000 0.000 0.000
Sm 0.000 0.000 0.334
Sm 0.000 0.000 0.666
Tl 0.500 0.500 0.168
Tl 0.500 0.500 0.500
Tl 0.500 0.500 0.832

Largest 8 diffraction maxima, by angle, 2θ = 10–90°:
Position (°2θ), d_spacing, I (rel.)
32.6, 2.747, 100
33.0, 2.717, 49
46.2, 1.963, 10
47.3, 1.921, 18
57.9, 1.591, 20
58.6, 1.574, 38
68.3, 1.373, 12
77.0, 1.239, 9